Theoretical powder diffraction line list of CaFeAu2 for a wavelength of 1.5418 Å, from DFT lattice parameters and positions (PBE).
Peak positions follow from Bragg's law for the DFT cell and can differ from measured ones.

Crystal structure
a = 3.571 Å, b = 3.571 Å, c = 6.309 Å
α = 90.00°, β = 90.00°, γ = 90.00°
Space group P4mm (No. 99)
Unique sites:
Ca 0.000 0.000 0.000 (multiplicity 1)
Fe 0.500 0.500 0.323 (multiplicity 1)
Au 0.000 0.000 0.476 (multiplicity 1)
Au 0.500 0.500 0.748 (multiplicity 1)

Main lines, most intense first (15° ≤ 2θ ≤ 90°):
| two_theta | I/Imax | index |
| --- | --- | --- |
| 38.06 | 100 | 1 0 2 |
| 35.56 | 69 | 1 1 0 |
| 28.73 | 44 | 1 0 1 |
| 65.52 | 40 | 2 1 2 |
| 51.16 | 24 | 2 0 0 |
| 38.40 | 21 | 1 1 1 |
| 86.12 | 13 | 3 1 0 |
| 59.73 | 12 | 2 1 1 |
| 70.38 | 12 | 1 1 4 |
| 56.99 | 12 | 1 1 3 |